[1]
Starting from the PBE geometry in Alexandria, the X-ray powder pattern of Ag4Au3 was computed for CuKα.

Main lines, in order of falling intensity (2θ = 5–70°):
37.5°, rel. 100; 43.8°, rel. 32; 63.2°, rel. 21; 43.1°, rel. 17; 21.6°, rel. 6; 63.6°, rel. 5; 63.8°, rel. 5; 30.9°, rel. 3; 26.1°, rel. 2; 46.3°, rel. 2

Structure:
```
Ag4Au3
1.0
-1.4593 2.0966 10.2466
1.4593 -2.0966 10.2466
1.4593 2.0966 -10.2466
Ag Au
4 3
direct
0.0715 0.0715 0.0000 Ag
0.2143 0.2143 0.0000 Ag
0.7857 0.7857 0.0000 Ag
0.9285 0.9285 0.0000 Ag
0.3568 0.3568 0.0000 Au
0.5000 0.5000 0.0000 Au
0.6432 0.6432 0.0000 Au
```

=====

[2]
Starting from the PBE geometry in Alexandria, the X-ray powder pattern of Hf3CdIn was computed for CuKα.

Main lines, in order of falling intensity (2θ = 5–70°):
34.5°, rel. 100; 34.9°, rel. 96; 35.3°, rel. 93; 29.3°, rel. 75; 6.9°, rel. 54; 45.9°, rel. 45; 46.5°, rel. 42; 46.1°, rel. 41; 30.1°, rel. 38; 41.0°, rel. 24

Structure:
```
Hf3CdIn
1.0
6.0066 0.0000 0.0000
0.0000 3.0524 0.0000
-1.6415 0.0000 12.7204
Hf Cd In
6 2 2
direct
0.0000 0.0000 0.0000 Hf
0.1943 0.0000 0.7993 Hf
0.3051 0.0000 0.2031 Hf
0.5000 0.0000 0.0000 Hf
0.6949 0.0000 0.7969 Hf
0.8057 0.0000 0.2007 Hf
0.3737 0.0000 0.5910 Cd
0.6263 0.0000 0.4090 Cd
0.1070 0.5000 0.3907 In
0.8930 0.5000 0.6093 In
```

=====

[3]
Starting from the PBE geometry in Alexandria, the X-ray powder pattern of TbU3Tl4Te8 was computed for CuKα.

Main lines, in order of falling intensity (2θ = 5–70°):
27.3°, rel. 100; 37.2°, rel. 41; 40.8°, rel. 36; 49.8°, rel. 20; 66.2°, rel. 17; 61.2°, rel. 17; 56.4°, rel. 12; 24.3°, rel. 8; 43.6°, rel. 8; 64.6°, rel. 6

Structure:
```
TbU3Tl4Te8
1.0
4.4248 2.5547 8.3063
-4.4248 2.5547 8.3063
0.0000 -5.1094 8.3063
Tb U Tl Te
1 3 4 8
direct
0.0000 0.0000 0.0000 Tb
0.0000 0.5000 0.5000 U
0.5000 0.0000 0.5000 U
0.5000 0.5000 0.0000 U
0.0000 0.0000 0.5000 Tl
0.0000 0.5000 0.0000 Tl
0.5000 0.0000 0.0000 Tl
0.5000 0.5000 0.5000 Tl
0.2380 0.2380 0.7401 Te
0.2380 0.7401 0.2380 Te
0.2599 0.7620 0.7620 Te
0.2611 0.2611 0.2611 Te
0.7389 0.7389 0.7389 Te
0.7401 0.2380 0.2380 Te
0.7620 0.2599 0.7620 Te
0.7620 0.7620 0.2599 Te
```

=====

[4]
Starting from the PBE geometry in Alexandria, the X-ray powder pattern of SrAg6As2 was computed for CuKα.

Main lines, in order of falling intensity (2θ = 5–70°):
34.5°, rel. 100; 40.1°, rel. 60; 42.1°, rel. 55; 8.8°, rel. 41; 63.4°, rel. 18; 61.1°, rel. 17; 45.0°, rel. 12; 33.9°, rel. 11; 41.6°, rel. 8; 54.7°, rel. 7

Structure:
```
SrAg6As2
1.0
4.2902 0.0000 0.0000
0.0000 4.2902 0.0000
0.0000 0.0000 10.0663
Sr Ag As
1 6 2
direct
0.0000 0.0000 0.0000 Sr
0.0000 0.0000 0.5000 Ag
0.0000 0.5000 0.3004 Ag
0.0000 0.5000 0.6996 Ag
0.5000 0.0000 0.3004 Ag
0.5000 0.0000 0.6996 Ag
0.5000 0.5000 0.5000 Ag
0.5000 0.5000 0.1340 As
0.5000 0.5000 0.8660 As
```

=====

[5]
Starting from the PBE geometry in Alexandria, the X-ray powder pattern of CeNpAs2 was computed for CuKα.

Main lines, in order of falling intensity (2θ = 5–70°):
32.7°, rel. 100; 44.1°, rel. 55; 26.4°, rel. 51; 38.8°, rel. 50; 25.4°, rel. 36; 69.8°, rel. 27; 51.3°, rel. 24; 56.0°, rel. 22; 49.7°, rel. 15; 12.4°, rel. 15

Structure:
```
CeNpAs2
1.0
2.0552 1.1866 7.1317
-2.0552 1.1866 7.1317
0.0000 -2.3732 7.1317
Ce Np As
1 1 2
direct
0.0000 0.0000 0.0000 Ce
0.1708 0.1708 0.1708 Np
0.5812 0.5812 0.5812 As
0.7563 0.7563 0.7563 As
```

=====

[6]
Starting from the PBE geometry in Alexandria, the X-ray powder pattern of LiSc3Ir3 was computed for CuKα.

Main lines, in order of falling intensity (2θ = 5–70°):
40.8°, rel. 100; 28.1°, rel. 49; 14.0°, rel. 48; 40.1°, rel. 26; 40.3°, rel. 26; 28.9°, rel. 23; 58.2°, rel. 17; 19.9°, rel. 17; 32.2°, rel. 14; 35.3°, rel. 11

Structure:
```
LiSc3Ir3
1.0
4.4707 -4.5013 0.0000
4.4707 4.5013 0.0000
0.0000 0.0000 6.1787
Li Sc Ir
2 6 6
direct
0.2428 0.7572 0.0000 Li
0.7572 0.2428 0.0000 Li
0.2457 0.2457 0.5000 Sc
0.2521 0.7479 0.5000 Sc
0.2638 0.2638 0.0000 Sc
0.7362 0.7362 0.0000 Sc
0.7479 0.2521 0.5000 Sc
0.7543 0.7543 0.5000 Sc
0.0000 0.0000 0.2423 Ir
0.0000 0.0000 0.7577 Ir
0.0000 0.5000 0.2444 Ir
0.0000 0.5000 0.7556 Ir
0.5000 0.0000 0.2444 Ir
0.5000 0.0000 0.7556 Ir
```

=====

[7]
Starting from the PBE geometry in Alexandria, the X-ray powder pattern of NaTbCd2In2 was computed for CuKα.

Main lines, in order of falling intensity (2θ = 5–70°):
32.5°, rel. 100; 36.1°, rel. 94; 12.4°, rel. 33; 49.4°, rel. 30; 64.1°, rel. 29; 62.7°, rel. 29; 44.3°, rel. 18; 64.9°, rel. 16; 24.9°, rel. 15; 24.1°, rel. 15

Structure:
```
NaTbCd2In2
1.0
4.9743 0.0000 0.0000
-2.4872 4.3079 0.0000
0.0000 0.0000 7.1633
Na Tb Cd In
1 1 2 2
direct
0.0000 0.0000 0.0000 Na
0.0000 0.0000 0.5000 Tb
0.3333 0.6667 0.2653 Cd
0.6667 0.3333 0.7347 Cd
0.3333 0.6667 0.7307 In
0.6667 0.3333 0.2693 In
```

=====

[8]
Starting from the PBE geometry in Alexandria, the X-ray powder pattern of BaSrPrZrO6 was computed for CuKα.

Main lines, in order of falling intensity (2θ = 5–70°):
28.6°, rel. 100; 50.6°, rel. 41; 40.8°, rel. 32; 59.1°, rel. 20; 67.0°, rel. 18; 17.4°, rel. 4; 33.6°, rel. 3; 20.1°, rel. 2; 44.7°, rel. 2; 35.2°, rel. 2

Structure:
```
BaSrPrZrO6
1.0
0.0000 4.4192 4.4192
4.4192 0.0000 4.4192
4.4192 4.4192 0.0000
Ba Sr Pr Zr O
1 1 1 1 6
direct
0.0000 0.0000 0.0000 Ba
0.5000 0.5000 0.5000 Sr
0.2500 0.2500 0.2500 Pr
0.7500 0.7500 0.7500 Zr
0.5125 0.5125 0.9875 O
0.5125 0.9875 0.5125 O
0.5125 0.9875 0.9875 O
0.9875 0.5125 0.5125 O
0.9875 0.5125 0.9875 O
0.9875 0.9875 0.5125 O
```